Computed XRD peak list
Compound: Pm4Zr6O19
Radiation: Cu Kα
Structure: a DFT-relaxed cell (GGA-PBE, Alexandria)
Lines closer than 0.1° are merged.

Structure:
Cell lengths 8.2697, 8.2697, 8.2697 Å; angles 109.47, 109.47, 109.47 degrees
Atoms (fractional coordinates):
Pm1 0.0000 0.0000 0.2919
Pm2 0.0000 0.2919 0.0000
Pm3 0.2919 0.0000 0.0000
Pm4 0.7081 0.7081 0.7081
Zr1 0.1695 0.5000 0.6695
Zr2 0.3305 0.8305 0.5000
Zr3 0.5000 0.3305 0.8305
Zr4 0.5000 0.6695 0.1695
Zr5 0.6695 0.1695 0.5000
Zr6 0.8305 0.5000 0.3305
O1 0.0000 0.0000 0.0000
O2 0.0000 0.3548 0.3548
O3 0.0000 0.6452 0.6452
O4 0.0315 0.7617 0.3613
O5 0.2383 0.2698 0.5996
O6 0.2698 0.5996 0.2383
O7 0.3298 0.7302 0.9685
O8 0.3548 0.0000 0.3548
O9 0.3548 0.3548 0.0000
O10 0.3613 0.0315 0.7617
O11 0.4004 0.6702 0.6387
O12 0.5996 0.2383 0.2698
O13 0.6387 0.4004 0.6702
O14 0.6452 0.0000 0.6452
O15 0.6452 0.6452 0.0000
O16 0.6702 0.6387 0.4004
O17 0.7302 0.9685 0.3298
O18 0.7617 0.3613 0.0315
O19 0.9685 0.3298 0.7302

Largest 10 diffraction maxima, in order of rising 2θ, 10 to 90 degrees two-theta:
3.898 Å, 2θ 22.81, rel. 98; 3.020 Å, 2θ 29.58, rel. 100; 2.757 Å, 2θ 32.48, rel. 35; 2.552 Å, 2θ 35.16, rel. 51; 2.251 Å, 2θ 40.06, rel. 29; 1.949 Å, 2θ 46.60, rel. 21; 1.873 Å, 2θ 48.62, rel. 48; 1.743 Å, 2θ 52.49, rel. 38; 1.591 Å, 2θ 57.95, rel. 26; 1.110 Å, 2θ 87.97, rel. 17


Computed XRD peak list
Compound: Tb6HgSe5
Radiation: Cu Kα
Structure: a DFT-relaxed cell (GGA-PBE, Alexandria)
Lines closer than 0.1° are merged.

Structure:
Cell lengths 7.1677, 7.1677, 7.1519 Å; angles 99.58, 99.58, 119.81 degrees
Atoms (fractional coordinates):
Tb1 0.0795 0.4166 0.7492
Tb2 0.2468 0.2468 0.2503
Tb3 0.4166 0.0795 0.7492
Tb4 0.5834 0.9205 0.2508
Tb5 0.7532 0.7532 0.7497
Tb6 0.9205 0.5834 0.2508
Hg1 0.5000 0.5000 0.0000
Se1 0.0000 0.0000 0.5000
Se2 0.1661 0.8339 0.0000
Se3 0.3332 0.6668 0.5000
Se4 0.6668 0.3332 0.5000
Se5 0.8339 0.1661 0.0000

Largest 10 diffraction maxima, in order of rising 2θ, 10 to 90 degrees two-theta:
3.375 Å, 2θ 26.41, rel. 7; 2.926 Å, 2θ 30.55, rel. 100; 2.073 Å, 2θ 43.67, rel. 38; 2.066 Å, 2θ 43.82, rel. 37; 1.695 Å, 2θ 54.10, rel. 7; 1.688 Å, 2θ 54.36, rel. 20; 1.463 Å, 2θ 63.59, rel. 12; 1.310 Å, 2θ 72.07, rel. 17; 1.307 Å, 2θ 72.29, rel. 17; 1.194 Å, 2θ 80.43, rel. 13


Computed XRD peak list
Compound: YH4Pt2
Radiation: Cu Kα
Structure: a DFT-relaxed cell (GGA-PBE, Alexandria)
Lines closer than 0.1° are merged.

Structure:
Cell lengths 5.7880, 5.7880, 5.7880 Å; angles 116.87, 116.87, 95.52 degrees
Atoms (fractional coordinates):
Y1 0.3750 0.6250 0.7500
Y2 0.6250 0.3750 0.2500
H1 0.0653 0.6704 0.3949
H2 0.2245 0.3296 0.8949
H3 0.3296 0.2245 0.3949
H4 0.3296 0.9347 0.1051
H5 0.6704 0.0653 0.8949
H6 0.6704 0.7755 0.6051
H7 0.7755 0.6704 0.1051
H8 0.9347 0.3296 0.6051
Pt1 0.0000 0.0000 0.0000
Pt2 0.0000 0.0000 0.5000
Pt3 0.0000 0.5000 0.0000
Pt4 0.5000 0.0000 0.5000

Largest 10 diffraction maxima, in order of rising 2θ, 10 to 90 degrees two-theta:
4.781 Å, 2θ 18.56, rel. 43; 2.559 Å, 2θ 35.06, rel. 74; 2.389 Å, 2θ 37.66, rel. 100; 2.142 Å, 2θ 42.18, rel. 15; 1.643 Å, 2θ 55.97, rel. 20; 1.594 Å, 2θ 57.86, rel. 9; 1.515 Å, 2θ 61.18, rel. 13; 1.440 Å, 2θ 64.72, rel. 22; 1.279 Å, 2θ 74.11, rel. 28; 1.098 Å, 2θ 89.19, rel. 8


Computed XRD peak list
Compound: Tb7Y4Ho
Radiation: Cu Kα
Structure: a DFT-relaxed cell (GGA-PBE, Alexandria)
Lines closer than 0.1° are merged.

Structure:
Cell lengths 6.2221, 7.1875, 8.8517 Å; angles 89.98, 76.32, 89.91 degrees
Atoms (fractional coordinates):
Tb1 0.0000 0.0000 0.0000
Tb2 0.2209 0.5001 0.3336
Tb3 0.2769 0.2509 0.6669
Tb4 0.4991 0.2502 0.9992
Tb5 0.5009 0.7498 0.0008
Tb6 0.7231 0.7491 0.3331
Tb7 0.7791 0.4999 0.6664
Y1 0.2221 0.0001 0.3335
Y2 0.2796 0.7492 0.6664
Y3 0.7204 0.2508 0.3336
Y4 0.7779 0.9999 0.6665
Ho1 0.0000 0.5000 0.0000

Largest 10 diffraction maxima, in order of rising 2θ, 10 to 90 degrees two-theta:
3.089 Å, 2θ 28.90, rel. 43; 2.867 Å, 2θ 31.20, rel. 48; 2.803 Å, 2θ 31.93, rel. 100; 2.665 Å, 2θ 33.63, rel. 88; 2.239 Å, 2θ 40.27, rel. 18; 1.797 Å, 2θ 50.82, rel. 37; 1.673 Å, 2θ 54.86, rel. 22; 1.524 Å, 2θ 60.80, rel. 14; 1.522 Å, 2θ 60.85, rel. 21; 1.490 Å, 2θ 62.33, rel. 15


Computed XRD peak list
Compound: Sc2TlPt
Radiation: Cu Kα
Structure: a DFT-relaxed cell (GGA-PBE, Alexandria)
Lines closer than 0.1° are merged.

Structure:
Cell lengths 8.4875, 8.4875, 8.4875 Å; angles 24.55, 24.55, 24.55 degrees
Atoms (fractional coordinates):
Sc1 0.2345 0.2345 0.2345
Sc2 0.7655 0.7655 0.7655
Tl1 0.0000 0.0000 0.0000
Pt1 0.5000 0.5000 0.5000

Largest 10 diffraction maxima, in order of rising 2θ, 10 to 90 degrees two-theta:
4.114 Å, 2θ 21.60, rel. 38; 3.030 Å, 2θ 29.48, rel. 50; 2.788 Å, 2θ 32.10, rel. 100; 2.196 Å, 2θ 41.11, rel. 47; 1.937 Å, 2θ 46.90, rel. 19; 1.805 Å, 2θ 50.58, rel. 29; 1.653 Å, 2θ 55.61, rel. 20; 1.515 Å, 2θ 61.18, rel. 16; 1.357 Å, 2θ 69.26, rel. 18; 1.160 Å, 2θ 83.27, rel. 13


Computed XRD peak list
Compound: Ca2MgZn3
Radiation: Cu Kα
Structure: a DFT-relaxed cell (GGA-PBE, Alexandria)
Lines closer than 0.1° are merged.

Structure:
Cell lengths 5.8180, 5.8180, 9.0601 Å; angles 90.00, 90.00, 120.00 degrees
Atoms (fractional coordinates):
Ca1 0.3333 0.6667 0.0632
Ca2 0.3333 0.6667 0.4368
Ca3 0.6667 0.3333 0.5632
Ca4 0.6667 0.3333 0.9368
Mg1 0.0000 0.0000 0.0000
Mg2 0.0000 0.0000 0.5000
Zn1 0.1745 0.3490 0.7500
Zn2 0.1745 0.8255 0.7500
Zn3 0.3490 0.1745 0.2500
Zn4 0.6510 0.8255 0.7500
Zn5 0.8255 0.1745 0.2500
Zn6 0.8255 0.6510 0.2500

Largest 10 diffraction maxima, in order of rising 2θ, 10 to 90 degrees two-theta:
4.530 Å, 2θ 19.60, rel. 30; 4.403 Å, 2θ 20.17, rel. 17; 2.590 Å, 2θ 34.63, rel. 50; 2.519 Å, 2θ 35.64, rel. 19; 2.448 Å, 2θ 36.72, rel. 54; 2.427 Å, 2θ 37.04, rel. 100; 2.265 Å, 2θ 39.80, rel. 17; 2.202 Å, 2θ 40.99, rel. 18; 1.471 Å, 2θ 63.21, rel. 26; 1.455 Å, 2θ 64.01, rel. 20


Computed XRD peak list
Compound: Fe2W2Cl7
Radiation: Cu Kα
Structure: a DFT-relaxed cell (GGA-PBE, Alexandria)
Lines closer than 0.1° are merged.

Structure:
Cell lengths 7.3593, 7.3593, 10.3832 Å; angles 91.01, 91.01, 95.18 degrees
Atoms (fractional coordinates):
Fe1 0.0313 0.2901 0.1626
Fe2 0.2901 0.0313 0.6626
Fe3 0.7099 0.9687 0.3374
Fe4 0.9687 0.7099 0.8374
W1 0.0280 0.1656 0.9579
W2 0.1656 0.0280 0.4579
W3 0.8344 0.9720 0.5421
W4 0.9720 0.8344 0.0421
Cl1 0.0144 0.7333 0.4670
Cl2 0.1501 0.5920 0.1286
Cl3 0.2517 0.7483 0.7500
Cl4 0.2641 0.2819 0.8158
Cl5 0.2667 0.9856 0.0330
Cl6 0.2819 0.2641 0.3158
Cl7 0.4080 0.8499 0.3714
Cl8 0.5920 0.1501 0.6286
Cl9 0.7181 0.7359 0.6842
Cl10 0.7333 0.0144 0.9670
Cl11 0.7359 0.7181 0.1842
Cl12 0.7483 0.2517 0.2500
Cl13 0.8499 0.4080 0.8714
Cl14 0.9856 0.2667 0.5330

Largest 10 diffraction maxima, in order of rising 2θ, 10 to 90 degrees two-theta:
7.328 Å, 2θ 12.08, rel. 100; 6.041 Å, 2θ 14.66, rel. 9; 5.933 Å, 2θ 14.93, rel. 9; 5.190 Å, 2θ 17.09, rel. 12; 4.274 Å, 2θ 20.78, rel. 10; 4.197 Å, 2θ 21.17, rel. 26; 3.476 Å, 2θ 25.63, rel. 13; 3.106 Å, 2θ 28.75, rel. 9; 2.388 Å, 2θ 37.67, rel. 9; 2.328 Å, 2θ 38.67, rel. 10


Computed XRD peak list
Compound: Ac2ErCrS6
Radiation: Cu Kα
Structure: a DFT-relaxed cell (GGA-PBE, Alexandria)
Lines closer than 0.1° are merged.

Structure:
Cell lengths 7.0588, 9.9393, 6.8443 Å; angles 90.00, 90.00, 90.00 degrees
Atoms (fractional coordinates):
Ac1 0.2500 0.0399 0.2205
Ac2 0.2500 0.4601 0.2205
Ac3 0.7500 0.5399 0.7795
Ac4 0.7500 0.9601 0.7795
Er1 0.2500 0.7500 0.7505
Er2 0.7500 0.2500 0.2495
Cr1 0.2500 0.2500 0.7406
Cr2 0.7500 0.7500 0.2594
S1 0.0127 0.2500 0.9813
S2 0.0304 0.2500 0.4858
S3 0.2500 0.0122 0.7658
S4 0.2500 0.4878 0.7658
S5 0.4696 0.2500 0.4858
S6 0.4873 0.2500 0.9813
S7 0.5127 0.7500 0.0187
S8 0.5304 0.7500 0.5142
S9 0.7500 0.5122 0.2342
S10 0.7500 0.9878 0.2342
S11 0.9696 0.7500 0.5142
S12 0.9873 0.7500 0.0187

Largest 10 diffraction maxima, in order of rising 2θ, 10 to 90 degrees two-theta:
5.637 Å, 2θ 15.72, rel. 24; 3.529 Å, 2θ 25.23, rel. 32; 3.494 Å, 2θ 25.49, rel. 100; 3.422 Å, 2θ 26.04, rel. 27; 2.996 Å, 2θ 29.82, rel. 31; 2.457 Å, 2θ 36.57, rel. 47; 2.256 Å, 2θ 39.97, rel. 20; 2.031 Å, 2θ 44.61, rel. 30; 1.989 Å, 2θ 45.60, rel. 18; 1.747 Å, 2θ 52.37, rel. 19


Computed XRD peak list
Compound: Tl2HgPd5
Radiation: Cu Kα
Structure: a DFT-relaxed cell (GGA-PBE, Alexandria)
Lines closer than 0.1° are merged.

Structure:
Cell lengths 5.7999, 5.7999, 5.7999 Å; angles 117.47, 117.47, 94.44 degrees
Atoms (fractional coordinates):
Tl1 0.0000 0.5000 0.5000
Tl2 0.5000 0.0000 0.5000
Hg1 0.0000 0.0000 0.0000
Pd1 0.0000 0.0000 0.5000
Pd2 0.0000 0.5000 0.0000
Pd3 0.5000 0.0000 0.0000
Pd4 0.5000 0.5000 0.0000
Pd5 0.5000 0.5000 0.5000

Largest 10 diffraction maxima, in order of rising 2θ, 10 to 90 degrees two-theta:
3.939 Å, 2θ 22.57, rel. 5; 3.010 Å, 2θ 29.68, rel. 5; 2.392 Å, 2θ 37.61, rel. 100; 2.128 Å, 2θ 42.47, rel. 36; 1.970 Å, 2θ 46.08, rel. 14; 1.505 Å, 2θ 61.62, rel. 12; 1.446 Å, 2θ 64.45, rel. 21; 1.274 Å, 2θ 74.49, rel. 27; 1.204 Å, 2θ 79.66, rel. 11; 1.196 Å, 2θ 80.28, rel. 11


Computed XRD peak list
Compound: LiU4S7
Radiation: Cu Kα
Structure: a DFT-relaxed cell (GGA-PBE, Alexandria)
Lines closer than 0.1° are merged.

Structure:
Cell lengths 3.9125, 3.9125, 22.5191 Å; angles 90.00, 90.00, 120.00 degrees
Atoms (fractional coordinates):
Li1 0.0000 0.0000 0.0000
U1 0.3333 0.6667 0.1388
U2 0.3333 0.6667 0.4292
U3 0.6667 0.3333 0.5708
U4 0.6667 0.3333 0.8612
S1 0.0000 0.0000 0.2021
S2 0.0000 0.0000 0.5000
S3 0.0000 0.0000 0.7979
S4 0.3333 0.6667 0.6348
S5 0.3333 0.6667 0.9325
S6 0.6667 0.3333 0.0675
S7 0.6667 0.3333 0.3651

Largest 10 diffraction maxima, in order of rising 2θ, 10 to 90 degrees two-theta:
7.506 Å, 2θ 11.79, rel. 81; 5.630 Å, 2θ 15.74, rel. 48; 3.388 Å, 2θ 26.30, rel. 26; 3.351 Å, 2θ 26.60, rel. 48; 3.088 Å, 2θ 28.91, rel. 62; 2.903 Å, 2θ 30.80, rel. 100; 2.515 Å, 2θ 35.70, rel. 56; 2.333 Å, 2θ 38.59, rel. 26; 1.956 Å, 2θ 46.42, rel. 44; 1.875 Å, 2θ 48.54, rel. 40


Computed XRD peak list
Compound: LiNbSe3
Radiation: Cu Kα
Structure: a DFT-relaxed cell (GGA-PBE, Alexandria)
Lines closer than 0.1° are merged.

Structure:
Cell lengths 3.9778, 6.7886, 8.4167 Å; angles 90.00, 99.07, 90.00 degrees
Atoms (fractional coordinates):
Li1 0.0733 0.2500 0.4058
Li2 0.9267 0.7500 0.5942
Nb1 0.2835 0.7500 0.1055
Nb2 0.7165 0.2500 0.8945
Se1 0.1974 0.5151 0.8470
Se2 0.1974 0.9849 0.8470
Se3 0.3655 0.7500 0.4116
Se4 0.6345 0.2500 0.5884
Se5 0.8026 0.0151 0.1530
Se6 0.8026 0.4849 0.1530

Largest 10 diffraction maxima, in order of rising 2θ, 10 to 90 degrees two-theta:
8.311 Å, 2θ 10.64, rel. 100; 5.258 Å, 2θ 16.86, rel. 60; 3.400 Å, 2θ 26.21, rel. 78; 3.110 Å, 2θ 28.71, rel. 25; 2.770 Å, 2θ 32.31, rel. 27; 2.566 Å, 2θ 34.96, rel. 51; 2.528 Å, 2θ 35.50, rel. 54; 2.385 Å, 2θ 37.71, rel. 49; 2.293 Å, 2θ 39.29, rel. 26; 1.988 Å, 2θ 45.62, rel. 37


Computed XRD peak list
Compound: Tb2Ga3Ir
Radiation: Cu Kα
Structure: a DFT-relaxed cell (GGA-PBE, Alexandria)
Lines closer than 0.1° are merged.

Structure:
Cell lengths 5.6506, 5.6506, 7.1140 Å; angles 127.47, 127.47, 44.98 degrees
Atoms (fractional coordinates):
Tb1 0.0000 0.0000 0.0000
Tb2 0.0982 0.0982 0.6097
Ga1 0.3825 0.3825 0.2181
Ga2 0.7061 0.7061 0.0062
Ga3 0.7177 0.7177 0.4163
Ir1 0.3900 0.3900 0.6142

Largest 10 diffraction maxima, in order of rising 2θ, 10 to 90 degrees two-theta:
5.354 Å, 2θ 16.56, rel. 24; 2.713 Å, 2θ 33.02, rel. 58; 2.674 Å, 2θ 33.51, rel. 71; 2.611 Å, 2θ 34.34, rel. 100; 2.597 Å, 2θ 34.53, rel. 38; 2.573 Å, 2θ 34.86, rel. 98; 2.250 Å, 2θ 40.07, rel. 25; 2.240 Å, 2θ 40.25, rel. 100; 2.161 Å, 2θ 41.79, rel. 66; 1.409 Å, 2θ 66.33, rel. 27